Structure and calculated PXRD pattern of TbY3Ho4Se8 (a cell relaxed with PBE; CuKα).

The 8 most intense peaks (2θ = 5–70°), by intensity:
31.05°, intensity 100; 44.49°, intensity 74; 55.24°, intensity 26; 26.81°, intensity 13; 64.73°, intensity 12; 52.70°, intensity 6; 13.30°, intensity 5; 25.65°, intensity 3

Atomic structure:
```
data_TbY3Ho4Se8
_cell_length_a 8.149
_cell_length_b 8.149
_cell_length_c 8.149
_cell_angle_alpha 59.95
_cell_angle_beta 59.95
_cell_angle_gamma 59.95
_symmetry_space_group_name_H-M 'P 1'
_symmetry_Int_Tables_number 1
_symmetry_space_group_name_Hall 'P 1'
loop_
_atom_site_label
_atom_site_fract_x
_atom_site_fract_y
_atom_site_fract_z
Tb1 0.000 0.000 0.000
Y1 0.000 0.500 0.500
Y2 0.500 0.000 0.500
Y3 0.500 0.500 0.000
Ho1 0.000 0.000 0.500
Ho2 0.000 0.500 0.000
Ho3 0.500 0.000 0.000
Ho4 0.500 0.500 0.500
Se1 0.249 0.249 0.249
Se2 0.249 0.749 0.749
Se3 0.251 0.251 0.751
Se4 0.251 0.751 0.251
Se5 0.749 0.249 0.749
Se6 0.749 0.749 0.249
Se7 0.751 0.251 0.251
Se8 0.751 0.751 0.751
```

Structure and calculated PXRD pattern of Hf3SnAs (a cell relaxed with PBE; CuKα).

The 8 most intense peaks (2θ = 5–70°), by intensity:
37.03°, intensity 100; 38.31°, intensity 70; 39.41°, intensity 59; 20.30°, intensity 43; 32.41°, intensity 33; 11.76°, intensity 28; 39.50°, intensity 27; 33.33°, intensity 24

Atomic structure:
```
data_Hf3SnAs
_cell_length_a 7.896
_cell_length_b 7.896
_cell_length_c 6.998
_cell_angle_alpha 95.33
_cell_angle_beta 95.33
_cell_angle_gamma 33.65
_symmetry_space_group_name_H-M 'P 1'
_symmetry_Int_Tables_number 1
_symmetry_space_group_name_Hall 'P 1'
loop_
_atom_site_label
_atom_site_fract_x
_atom_site_fract_y
_atom_site_fract_z
Hf1 0.023 0.023 0.230
Hf2 0.181 0.181 0.943
Hf3 0.265 0.265 0.353
Hf4 0.735 0.735 0.647
Hf5 0.819 0.819 0.057
Hf6 0.977 0.977 0.770
Sn1 0.366 0.366 0.823
Sn2 0.634 0.634 0.177
As1 0.123 0.123 0.573
As2 0.877 0.877 0.427
```

Structure and calculated PXRD pattern of LaDyGe2Rh5 (a cell relaxed with PBE; CuKα).

The 8 most intense peaks (2θ = 5–70°), by intensity:
36.06°, intensity 100; 42.85°, intensity 47; 69.90°, intensity 16; 59.95°, intensity 15; 62.21°, intensity 15; 28.93°, intensity 13; 39.86°, intensity 13; 42.62°, intensity 11

Atomic structure:
```
data_LaDyGe2Rh5
_cell_length_a 4.220
_cell_length_b 4.220
_cell_length_c 9.047
_cell_angle_alpha 90.00
_cell_angle_beta 90.00
_cell_angle_gamma 90.00
_symmetry_space_group_name_H-M 'P 1'
_symmetry_Int_Tables_number 1
_symmetry_space_group_name_Hall 'P 1'
loop_
_atom_site_label
_atom_site_fract_x
_atom_site_fract_y
_atom_site_fract_z
La1 0.000 0.000 0.000
Dy1 0.000 0.000 0.500
Ge1 0.500 0.500 0.361
Ge2 0.500 0.500 0.639
Rh1 0.000 0.500 0.235
Rh2 0.000 0.500 0.765
Rh3 0.500 0.000 0.235
Rh4 0.500 0.000 0.765
Rh5 0.500 0.500 0.000
```

Structure and calculated PXRD pattern of LiFe3Pd12 (a cell relaxed with PBE; CuKα).

The 8 most intense peaks (2θ = 5–70°), by intensity:
40.13°, intensity 100; 46.54°, intensity 32; 68.25°, intensity 20; 46.95°, intensity 16; 67.93°, intensity 10; 22.79°, intensity 6; 32.58°, intensity 5; 5.71°, intensity 4

Atomic structure:
```
data_LiFe3Pd12
_cell_length_a 3.903
_cell_length_b 3.903
_cell_length_c 15.482
_cell_angle_alpha 90.00
_cell_angle_beta 90.00
_cell_angle_gamma 90.00
_symmetry_space_group_name_H-M 'P 1'
_symmetry_Int_Tables_number 1
_symmetry_space_group_name_Hall 'P 1'
loop_
_atom_site_label
_atom_site_fract_x
_atom_site_fract_y
_atom_site_fract_z
Li1 0.000 0.000 0.000
Fe1 0.000 0.000 0.247
Fe2 0.000 0.000 0.500
Fe3 0.000 0.000 0.753
Pd1 0.000 0.500 0.127
Pd2 0.000 0.500 0.376
Pd3 0.000 0.500 0.624
Pd4 0.000 0.500 0.873
Pd5 0.500 0.000 0.127
Pd6 0.500 0.000 0.376
Pd7 0.500 0.000 0.624
Pd8 0.500 0.000 0.873
Pd9 0.500 0.500 0.000
Pd10 0.500 0.500 0.251
Pd11 0.500 0.500 0.500
Pd12 0.500 0.500 0.749
```

Structure and calculated PXRD pattern of Mn3AlH3 (a cell relaxed with PBE; CuKα).

The 8 most intense peaks (2θ = 5–70°), by intensity:
40.94°, intensity 100; 45.05°, intensity 44; 36.46°, intensity 21; 68.66°, intensity 19; 25.56°, intensity 15; 65.61°, intensity 12; 59.29°, intensity 2; 52.51°, intensity 2

Atomic structure:
```
data_Mn3AlH3
_cell_length_a 4.929
_cell_length_b 4.929
_cell_length_c 4.929
_cell_angle_alpha 90.00
_cell_angle_beta 90.00
_cell_angle_gamma 90.00
_symmetry_space_group_name_H-M 'P 1'
_symmetry_Int_Tables_number 1
_symmetry_space_group_name_Hall 'P 1'
loop_
_atom_site_label
_atom_site_fract_x
_atom_site_fract_y
_atom_site_fract_z
Mn1 0.000 0.250 0.500
Mn2 0.000 0.750 0.500
Mn3 0.250 0.500 0.000
Mn4 0.500 0.000 0.250
Mn5 0.500 0.000 0.750
Mn6 0.750 0.500 0.000
Al1 0.000 0.000 0.000
Al2 0.500 0.500 0.500
H1 0.000 0.500 0.250
H2 0.000 0.500 0.750
H3 0.250 0.000 0.500
H4 0.500 0.250 0.000
H5 0.500 0.750 0.000
H6 0.750 0.000 0.500
```

Structure and calculated PXRD pattern of GaI2 (a cell relaxed with PBE; CuKα).

The 8 most intense peaks (2θ = 5–70°), by intensity:
25.69°, intensity 100; 25.37°, intensity 69; 15.78°, intensity 54; 25.16°, intensity 49; 14.11°, intensity 45; 26.39°, intensity 42; 43.23°, intensity 40; 24.88°, intensity 23

Atomic structure:
```
data_GaI2
_cell_length_a 7.125
_cell_length_b 7.125
_cell_length_c 7.168
_cell_angle_alpha 118.14
_cell_angle_beta 118.14
_cell_angle_gamma 78.89
_symmetry_space_group_name_H-M 'P 1'
_symmetry_Int_Tables_number 1
_symmetry_space_group_name_Hall 'P 1'
loop_
_atom_site_label
_atom_site_fract_x
_atom_site_fract_y
_atom_site_fract_z
Ga1 0.000 0.000 0.000
Ga2 0.613 0.387 0.500
I1 0.009 0.325 0.383
I2 0.340 0.019 0.965
I3 0.675 0.991 0.617
I4 0.981 0.660 0.035
```

Structure and calculated PXRD pattern of La12Sn5Ru2 (a cell relaxed with PBE; CuKα).

The 8 most intense peaks (2θ = 5–70°), by intensity:
28.85°, intensity 100; 31.07°, intensity 58; 30.53°, intensity 49; 32.44°, intensity 42; 35.01°, intensity 41; 23.23°, intensity 30; 45.56°, intensity 28; 20.60°, intensity 25

Atomic structure:
```
data_La12Sn5Ru2
_cell_length_a 9.842
_cell_length_b 9.842
_cell_length_c 10.252
_cell_angle_alpha 104.89
_cell_angle_beta 104.89
_cell_angle_gamma 47.74
_symmetry_space_group_name_H-M 'P 1'
_symmetry_Int_Tables_number 1
_symmetry_space_group_name_Hall 'P 1'
loop_
_atom_site_label
_atom_site_fract_x
_atom_site_fract_y
_atom_site_fract_z
La1 0.001 0.001 0.231
La2 0.076 0.609 0.922
La3 0.104 0.596 0.425
La4 0.391 0.924 0.078
La5 0.404 0.896 0.575
La6 0.499 0.499 0.179
La7 0.501 0.501 0.821
La8 0.596 0.104 0.425
La9 0.609 0.076 0.922
La10 0.896 0.404 0.575
La11 0.924 0.391 0.078
La12 0.999 0.999 0.769
Sn1 0.192 0.192 0.832
Sn2 0.195 0.195 0.359
Sn3 0.500 0.500 0.500
Sn4 0.805 0.805 0.641
Sn5 0.808 0.808 0.168
Ru1 0.212 0.788 0.000
Ru2 0.788 0.212 0.000
```